[1]
For Th2Co17, a PBE-relaxed structure gives the theoretical powder XRD pattern in this record (Cu Kα (weighted mean of Kα1 and Kα2)).
Neutral-atom scattering factors, no anomalous dispersion.

Peak list (12 most intense, 2θ = 10–90°, by angle)
2θ = 21.4°, I = 22.4; 2θ = 30.7°, I = 49.7; 2θ = 30.8°, I = 24.5; 2θ = 37.4°, I = 54.8; 2θ = 38.8°, I = 28.2; 2θ = 43.5°, I = 78.6; 2θ = 43.8°, I = 100.0; 2θ = 43.9°, I = 20.0; 2θ = 44.6°, I = 18.7; 2θ = 44.7°, I = 35.0; 2θ = 63.4°, I = 30.7; 2θ = 64.0°, I = 24.9

Crystal structure
a b c (Å): 6.2986 6.2986 6.2708
angles (deg): 97.13 97.13 82.81
Fractional positions:
Th 0.1565 0.1565 0.3437
Th 0.8435 0.8435 0.6563
Co 0.0000 0.5000 0.0000
Co 0.1550 0.1550 0.8523
Co 0.1549 0.6477 0.3457
Co 0.2142 0.7858 0.0000
Co 0.2151 0.5005 0.7150
Co 0.3523 0.8451 0.6543
Co 0.4031 0.4031 0.0970
Co 0.5000 0.0000 0.0000
Co 0.5005 0.2151 0.7150
Co 0.5000 0.5000 0.5000
Co 0.4995 0.7849 0.2850
Co 0.5969 0.5969 0.9030
Co 0.6477 0.1549 0.3457
Co 0.7849 0.4995 0.2850
Co 0.7858 0.2142 0.0000
Co 0.8451 0.3523 0.6543
Co 0.8450 0.8450 0.1477

---

[2]
For BPdPt, a PBE-relaxed structure gives the theoretical powder XRD pattern in this record (Cu Kα (weighted mean of Kα1 and Kα2)).
Neutral-atom scattering factors, no anomalous dispersion.

Peak list (12 most intense, 2θ = 10–90°, by angle)
2θ = 32.6°, I = 55.9; 2θ = 37.9°, I = 100.0; 2θ = 38.4°, I = 97.1; 2θ = 38.6°, I = 56.1; 2θ = 39.0°, I = 62.2; 2θ = 39.7°, I = 51.5; 2θ = 51.3°, I = 19.4; 2θ = 57.5°, I = 22.1; 2θ = 59.7°, I = 39.5; 2θ = 69.5°, I = 26.6; 2θ = 71.7°, I = 21.0; 2θ = 72.5°, I = 19.8

Crystal structure
a b c (Å): 4.6228 3.2052 5.3146
angles (deg): 90.00 91.81 90.00
Fractional positions:
B 0.0000 0.0000 0.0000
B 0.5000 0.5000 0.5000
Pd 0.2469 0.5000 0.8419
Pd 0.7531 0.5000 0.1581
Pt 0.2507 0.0000 0.3405
Pt 0.7493 0.0000 0.6595

---

[3]
For LiGeAu3S4, a PBE-relaxed structure gives the theoretical powder XRD pattern in this record (Cu Kα (weighted mean of Kα1 and Kα2)).
Neutral-atom scattering factors, no anomalous dispersion.

Peak list (12 most intense, 2θ = 10–90°, by angle)
2θ = 14.8°, I = 100.0; 2θ = 18.4°, I = 45.3; 2θ = 19.3°, I = 23.8; 2θ = 19.7°, I = 50.0; 2θ = 24.5°, I = 90.9; 2θ = 32.6°, I = 36.1; 2θ = 32.7°, I = 28.1; 2θ = 33.5°, I = 27.8; 2θ = 34.2°, I = 37.6; 2θ = 39.0°, I = 32.4; 2θ = 39.4°, I = 75.1; 2θ = 51.4°, I = 33.5

Crystal structure
a b c (Å): 5.4777 7.9049 9.2433
angles (deg): 90.00 93.18 90.00
Fractional positions:
Li 0.2340 0.2500 0.2310
Li 0.7660 0.7500 0.7690
Ge 0.2644 0.7500 0.1799
Ge 0.7356 0.2500 0.8201
Au 0.2063 0.2500 0.8852
Au 0.2130 0.0756 0.5849
Au 0.2130 0.4244 0.5849
Au 0.7870 0.5756 0.4151
Au 0.7870 0.9244 0.4151
Au 0.7937 0.7500 0.1148
S 0.0518 0.7500 0.5718
S 0.1187 0.7500 0.9494
S 0.4995 0.0122 0.7829
S 0.4995 0.4878 0.7829
S 0.5005 0.5122 0.2171
S 0.5005 0.9878 0.2171
S 0.8813 0.2500 0.0506
S 0.9482 0.2500 0.4282

---

[4]
For Hf2Bi2O5, a PBE-relaxed structure gives the theoretical powder XRD pattern in this record (Cu Kα (weighted mean of Kα1 and Kα2)).
Neutral-atom scattering factors, no anomalous dispersion.

Peak list (12 most intense, 2θ = 10–90°, by angle)
2θ = 30.4°, I = 100.0; 2θ = 31.3°, I = 43.1; 2θ = 42.2°, I = 11.7; 2θ = 44.9°, I = 22.4; 2θ = 53.5°, I = 21.7; 2θ = 55.2°, I = 38.9; 2θ = 63.3°, I = 14.3; 2θ = 69.9°, I = 9.1; 2θ = 73.8°, I = 8.4; 2θ = 74.3°, I = 8.2; 2θ = 87.0°, I = 10.7; 2θ = 89.4°, I = 11.2

Crystal structure
a b c (Å): 4.0361 4.0361 8.5676
angles (deg): 90.00 90.00 90.00
Fractional positions:
Hf 0.0000 0.0000 0.2384
Hf 0.0000 0.0000 0.7616
Bi 0.5000 0.5000 0.0000
Bi 0.5000 0.5000 0.5000
O 0.0000 0.0000 0.0000
O 0.0000 0.5000 0.2006
O 0.0000 0.5000 0.7994
O 0.5000 0.0000 0.2006
O 0.5000 0.0000 0.7994

---

[5]
For InHg3GeSe4, a PBE-relaxed structure gives the theoretical powder XRD pattern in this record (Cu Kα (weighted mean of Kα1 and Kα2)).
Neutral-atom scattering factors, no anomalous dispersion.

Peak list (12 most intense, 2θ = 10–90°, by angle)
2θ = 22.3°, I = 34.6; 2θ = 25.8°, I = 83.5; 2θ = 26.0°, I = 69.6; 2θ = 26.5°, I = 81.5; 2θ = 27.8°, I = 57.5; 2θ = 29.9°, I = 42.0; 2θ = 30.1°, I = 60.6; 2θ = 32.3°, I = 40.2; 2θ = 35.8°, I = 100.0; 2θ = 40.2°, I = 36.2; 2θ = 43.5°, I = 41.2; 2θ = 45.5°, I = 49.5

Crystal structure
a b c (Å): 7.1314 7.3619 10.5040
angles (deg): 90.00 106.40 90.00
Fractional positions:
In 0.1902 0.2500 0.3797
In 0.8098 0.7500 0.6203
Hg 0.0163 0.7500 0.3405
Hg 0.2503 0.5545 0.9789
Hg 0.2503 0.9455 0.9789
Hg 0.7497 0.0545 0.0211
Hg 0.7497 0.4455 0.0211
Hg 0.9837 0.2500 0.6595
Ge 0.4905 0.2500 0.7745
Ge 0.5095 0.7500 0.2255
Se 0.1799 0.2500 0.0989
Se 0.2541 0.5166 0.7170
Se 0.2541 0.9834 0.7170
Se 0.3904 0.7500 0.4233
Se 0.6096 0.2500 0.5767
Se 0.7459 0.0166 0.2830
Se 0.7459 0.4834 0.2830
Se 0.8201 0.7500 0.9011

---

[6]
For HoScNb2Ge2, a PBE-relaxed structure gives the theoretical powder XRD pattern in this record (Cu Kα (weighted mean of Kα1 and Kα2)).
Neutral-atom scattering factors, no anomalous dispersion.

Peak list (12 most intense, 2θ = 10–90°, by angle)
2θ = 11.5°, I = 31.2; 2θ = 32.4°, I = 37.9; 2θ = 33.9°, I = 100.0; 2θ = 35.1°, I = 31.3; 2θ = 39.7°, I = 94.2; 2θ = 42.0°, I = 32.7; 2θ = 45.6°, I = 57.8; 2θ = 58.8°, I = 27.4; 2θ = 63.7°, I = 18.9; 2θ = 66.4°, I = 18.3; 2θ = 76.7°, I = 18.1; 2θ = 80.3°, I = 23.4

Crystal structure
a b c (Å): 3.9809 3.9809 7.6660
angles (deg): 90.00 90.00 90.00
Fractional positions:
Ho 0.0000 0.0000 0.0000
Sc 0.5000 0.5000 0.2939
Nb 0.0000 0.5000 0.6398
Nb 0.5000 0.0000 0.6398
Ge 0.0000 0.0000 0.3867
Ge 0.5000 0.5000 0.8945